Structure and computed powder diffractogram of AlSbS2 (DFT lattice parameters and positions (GGA-PBE); Cu Ka).
No peak broadening, texture or thermal motion is included.

Largest 10 diffraction maxima, sorted by position, 5° ≤ 2θ ≤ 70°:
index, d/Å, 2θ/deg, I (rel.)
0 0 1, 8.083, 10.95, 68
0 0 2, 4.042, 21.99, 70
0 2 1, 3.035, 29.43, 53
1 1 0, 3.003, 29.75, 85
0 2 0, 2.979, 30.00, 57
-1 1 1, 2.930, 30.51, 100
0 0 3, 2.694, 33.25, 46
0 2 -2, 2.168, 41.66, 39
0 2 4, 1.892, 48.10, 44
1 3 1, 1.761, 51.92, 39

Crystal structure
abc: 3.4775 6.1282 8.3140
angles: 76.47 89.68 89.97
Positions (direct):
Al 0.2494 0.2494 0.9998
Al 0.7506 0.7506 0.0002
Sb 0.3188 0.7497 0.5008
Sb 0.6812 0.2503 0.4992
S 0.2533 0.8657 0.1627
S 0.2579 0.6341 0.8376
S 0.7421 0.3659 0.1624
S 0.7467 0.1343 0.8373